For CuP2O6, DFT lattice parameters and positions (PBE) gives the simulated PXRD pattern in this record (Cu Kα (λ = 1.5418 Å)).
Neutral-atom scattering factors, no anomalous dispersion.

Atomic structure:
Cell lengths 13.1400, 8.1231, 9.6397 Å; angles 90.00, 118.47, 90.00 degrees
Space group C2/c (No. 15)
Inequivalent atoms, fractional coordinates:
Cu: 0.0000 0.0532 0.2500 (multiplicity 4)
Cu: 0.2500 0.2500 0.5000 (multiplicity 4)
P: 0.0107 0.2566 0.9773 (multiplicity 8)
P: 0.1837 0.4961 0.6931 (multiplicity 8)
O: 0.0357 0.2314 0.4072 (multiplicity 8)
O: 0.0430 0.1126 0.9113 (multiplicity 8)
O: 0.0804 0.3700 0.6650 (multiplicity 8)
O: 0.1239 0.3718 0.0528 (multiplicity 8)
O: 0.2250 0.0907 0.3329 (multiplicity 8)
O: 0.2246 0.4308 0.3522 (multiplicity 8)

Main lines, most intense first (2θ = 15–90°):
d (Å)  I/Imax  (hkl)
2.932  100.0  0 2 2
2.886  71.4  4 0 0
3.479  63.7  3 1 0
3.538  43.3  3 1 -2
4.121  38.4  1 1 -2
2.513  36.4  4 2 -2


For NaPH6O6, DFT lattice parameters and positions (PBE) gives the simulated PXRD pattern in this record (Cu Kα (λ = 1.5418 Å)).
Neutral-atom scattering factors, no anomalous dispersion.

Atomic structure:
Cell lengths 6.6963, 7.2513, 11.4052 Å; angles 90.00, 90.00, 90.00 degrees
Space group P2_12_12_1 (No. 19)
Inequivalent atoms, fractional coordinates:
Na: 0.2200 0.1130 0.4210 (multiplicity 4)
P: 0.0448 0.7813 0.6507 (multiplicity 4)
H: 0.0111 0.4365 0.3787 (multiplicity 4)
H: 0.0163 0.0946 0.6547 (multiplicity 4)
H: 0.0966 0.4796 0.5036 (multiplicity 4)
H: 0.1122 0.6567 0.2580 (multiplicity 4)
H: 0.1490 0.4826 0.1809 (multiplicity 4)
H: 0.2204 0.2667 0.9688 (multiplicity 4)
O: 0.0261 0.3826 0.4578 (multiplicity 4)
O: 0.0432 0.5498 0.2247 (multiplicity 4)
O: 0.0547 0.7653 0.7830 (multiplicity 4)
O: 0.0731 0.9861 0.6050 (multiplicity 4)
O: 0.1767 0.2202 0.8865 (multiplicity 4)
O: 0.1997 0.6644 0.5849 (multiplicity 4)

Main lines, most intense first (2θ = 15–90°):
d (Å)  I/Imax  (hkl)
3.725  100.0  1 1 2
3.071  85.9  1 2 1
5.775  80.9  1 0 1
2.682  43.5  2 1 2
3.008  30.1  1 1 3
2.079  23.4  3 0 2